Calculated powder diffractogram
Compound: Ce12Th3Mg
Radiation: copper Kα
Structure: a crystal structure in Alexandria, relaxed with GGA-PBE
No peak broadening, texture or thermal motion is included.

The 10 most intense peaks (10° ≤ 2θ ≤ 90°), sorted by position:
hkl 1 1 4, 32.2 deg, I = 100; hkl 0 0 8, 37.3 deg, I = 17; hkl 2 0 0, 37.4 deg, I = 33; hkl 2 2 0, 53.9 deg, I = 35; hkl 1 1 12, 64.1 deg, I = 14; hkl 3 1 4, 64.3 deg, I = 28; hkl 2 2 8, 67.4 deg, I = 12; hkl 4 0 0, 79.8 deg, I = 4; hkl 3 1 12, 88.6 deg, I = 12; hkl 3 3 4, 88.7 deg, I = 6

Cell and atoms:
Lattice parameters (Å, degrees): 4.8062 4.8062 19.2754 90.00 90.00 90.00
Space group P4/mmm (No. 123)
Symmetry-distinct sites (fractional):
1 Ce 0.0000 0.0000 0.0000
2 Ce 0.0000 0.0000 0.2486
3 Ce 0.0000 0.0000 0.5000
4 Ce 0.0000 0.5000 0.1252
5 Ce 0.0000 0.5000 0.3758
6 Th 0.5000 0.5000 0.0000
7 Th 0.5000 0.5000 0.2515
8 Mg 0.5000 0.5000 0.5000

Calculated powder diffractogram
Compound: DyPuClO4
Radiation: copper Kα
Structure: a crystal structure in Alexandria, relaxed with GGA-PBE
No peak broadening, texture or thermal motion is included.

The 10 most intense peaks (10° ≤ 2θ ≤ 90°), sorted by position:
hkl 0 0 1, 14.3 deg, I = 63; hkl 1 1 0, 15.0 deg, I = 43; hkl 2 0 0, 15.9 deg, I = 37; hkl 2 0 1, 24.9 deg, I = 87; hkl 0 2 0, 25.7 deg, I = 100; hkl 3 1 -1, 26.6 deg, I = 67; hkl 3 1 -2, 33.2 deg, I = 68; hkl 2 2 1, 36.1 deg, I = 60; hkl 5 1 -1, 40.0 deg, I = 50; hkl 1 1 -3, 43.7 deg, I = 39

Cell and atoms:
Lattice parameters (Å, degrees): 11.9078 6.9281 6.6141 90.00 110.22 90.00
Space group C2/m (No. 12)
Symmetry-distinct sites (fractional):
1 Dy 0.2121 0.0000 0.0758
2 Pu 0.1277 0.5000 0.2336
3 Cl 0.0304 0.0000 0.2533
4 O 0.0804 0.5000 0.9147
5 O 0.1671 0.5000 0.5301
6 O 0.2471 0.3052 0.1944

Calculated powder diffractogram
Compound: BaLiGaSi2
Radiation: copper Kα
Structure: a crystal structure in Alexandria, relaxed with GGA-PBE
No peak broadening, texture or thermal motion is included.

The 10 most intense peaks (10° ≤ 2θ ≤ 90°), sorted by position:
hkl 1 0 1, 21.3 deg, I = 75; hkl 1 1 0, 27.7 deg, I = 20; hkl 1 0 3, 32.5 deg, I = 68; hkl 1 1 2, 32.7 deg, I = 100; hkl 2 0 0, 39.6 deg, I = 44; hkl 2 1 1, 45.4 deg, I = 21; hkl 1 0 5, 48.1 deg, I = 27; hkl 2 1 3, 52.1 deg, I = 35; hkl 2 1 5, 64.0 deg, I = 23; hkl 3 1 2, 67.5 deg, I = 24

Cell and atoms:
Lattice parameters (Å, degrees): 4.5547 4.5547 10.3961 90.00 90.00 90.00
Space group I-4m2 (No. 119)
Symmetry-distinct sites (fractional):
1 Ba 0.0000 0.0000 0.0000
2 Li 0.0000 0.5000 0.2500
3 Ga 0.0000 0.5000 0.7500
4 Si 0.0000 0.0000 0.3851